Computed X-ray powder pattern of Dy2HoCo2B2C3 for λ = 1.5418 Å (Cu Kα), from DFT lattice parameters and positions (PBE).
Intensities are scaled so that the largest is 100.

Largest 10 diffraction maxima, low angle first, 2θ = 10–80°:
two_theta	I (rel.)
28.41	100
33.47	82
35.07	48
35.88	38
36.97	36
40.10	28
51.65	34
59.99	26
62.95	27
63.96	32

Structural model:
Cell lengths 10.537, 10.537, 10.537 Å; angles 160.66, 160.66, 27.48 degrees
Fractional coordinates of all 10 atoms:
Dy (0.124, 0.124, 0.000)
Dy (0.876, 0.876, 0.000)
Ho (0.500, 0.500, 0.000)
Co (0.250, 0.750, 0.500)
Co (0.750, 0.250, 0.500)
B (0.306, 0.306, 0.000)
B (0.694, 0.694, 0.000)
C (0.000, 0.000, 0.000)
C (0.379, 0.379, 0.000)
C (0.621, 0.621, 0.000)

=====

Computed X-ray powder pattern of IrBr5 for λ = 1.5418 Å (Cu Kα), from DFT lattice parameters and positions (PBE).
Intensities are scaled so that the largest is 100.

Largest 10 diffraction maxima, low angle first, 2θ = 10–80°:
two_theta	I (rel.)
15.63	68
15.97	82
17.62	62
32.12	80
32.30	100
33.20	76
43.79	37
49.80	30
50.09	27
50.78	28

Structural model:
Cell lengths 6.360, 6.796, 8.993 Å; angles 72.69, 89.79, 62.33 degrees
Fractional coordinates of all 12 atoms:
Ir (0.097, 0.297, 0.214)
Ir (0.903, 0.703, 0.786)
Br (0.074, 0.685, 0.545)
Br (0.133, 0.879, 0.852)
Br (0.250, 0.300, 0.949)
Br (0.323, 0.491, 0.253)
Br (0.439, 0.908, 0.349)
Br (0.561, 0.092, 0.651)
Br (0.677, 0.509, 0.747)
Br (0.750, 0.700, 0.051)
Br (0.867, 0.121, 0.148)
Br (0.926, 0.315, 0.455)

=====

Computed X-ray powder pattern of HoCo4Sn4Ge2 for λ = 1.5418 Å (Cu Kα), from DFT lattice parameters and positions (PBE).
Intensities are scaled so that the largest is 100.

Largest 10 diffraction maxima, low angle first, 2θ = 10–80°:
two_theta	I (rel.)
31.35	34
32.73	100
33.75	73
39.94	38
42.49	62
42.78	53
43.56	43
56.01	26
67.20	25
77.93	23

Structural model:
Cell lengths 6.578, 6.578, 6.578 Å; angles 121.94, 121.94, 86.68 degrees
Fractional coordinates of all 11 atoms:
Ho (0.000, 0.000, 0.000)
Co (0.251, 0.612, 0.000)
Co (0.388, 0.388, 0.639)
Co (0.612, 0.251, 0.000)
Co (0.749, 0.749, 0.361)
Sn (0.115, 0.115, 0.645)
Sn (0.470, 0.470, 0.355)
Sn (0.530, 0.885, 0.000)
Sn (0.885, 0.530, 0.000)
Ge (0.000, 0.500, 0.500)
Ge (0.500, 0.000, 0.500)